Structure and calculated X-ray powder pattern of Pr5Nd3Sm (a crystal structure in Alexandria, relaxed with GGA-PBE; Cu Kα (weighted mean of Kα1 and Kα2)).

Structural model:
Cell: 20.837 6.344 11.793 Å, 90.00 122.20 90.00°
Space group C2/c (No. 15)
Symmetry-distinct sites (fractional):
1 Pr 0.000 0.077 0.250 x4
2 Pr 0.141 0.187 0.653 x8
3 Pr 0.178 0.301 0.336 x8
4 Nd 0.000 0.500 0.000 x4
5 Nd 0.177 0.268 0.026 x8
6 Sm 0.000 0.406 0.750 x4

Peak list (8 most intense, 2θ from 10° to 80°, low angle first)
2θ 28.3, 3.158 Å, rel. 68
2θ 28.9, 3.089 Å, rel. 100
2θ 29.7, 3.013 Å, rel. 36
2θ 29.9, 2.985 Å, rel. 61
2θ 30.4, 2.939 Å, rel. 98
2θ 32.4, 2.763 Å, rel. 33
2θ 33.1, 2.705 Å, rel. 79
2θ 34.8, 2.577 Å, rel. 50